The following is a simulated PXRD pattern of Nd7Dy4Th. It was derived from the GGA-PBE geometry in Alexandria, using λ = 1.5418 Å (Cu Kα).
Neutral-atom scattering factors, no anomalous dispersion.

Crystal structure
a = 6.3355 Å, b = 7.3111 Å, c = 9.0191 Å
α = 90.11°, β = 103.70°, γ = 90.02°
Space group P-1 (No. 2)
Unique sites:
1 Nd 0.0000 0.0000 0.0000 [1 per cell]
2 Nd 0.2191 0.4999 0.6708 [2 per cell]
3 Nd 0.2770 0.2511 0.3319 [2 per cell]
4 Nd 0.4994 0.2527 0.9982 [2 per cell]
5 Dy 0.2194 0.0001 0.6630 [2 per cell]
6 Dy 0.2746 0.7510 0.3301 [2 per cell]
7 Th 0.0000 0.5000 0.0000 [1 per cell]

Main lines, sorted by position (10 to 90 degrees two-theta):
- hkl 1 2 0, 28.4°, I 379
- hkl 1 2 -1, 29.0°, I 116
- hkl 0 0 3, 30.6°, I 489
- hkl 2 0 -2, 31.4°, I 1000
- hkl 2 0 1, 33.0°, I 857
- hkl 1 2 -3, 39.5°, I 114
- hkl 0 4 0, 49.9°, I 379
- hkl -1 2 5, 57.0°, I 117
- hkl 3 -2 2, 59.6°, I 221
- hkl 3 2 2, 59.7°, I 147
- hkl 2 4 -2, 60.1°, I 158
- hkl 2 -4 1, 61.1°, I 96